Record 1
# CaBe2Cu10
Theoretical powder XRD pattern, Cu Kα. Input: the PBE geometry in Alexandria.
Lines closer than 0.1° are merged.

Atomic structure:
```
data_CaBe2Cu10
_cell_length_a 4.7196
_cell_length_b 11.5518
_cell_length_c 12.1551
_cell_angle_alpha 90.00
_cell_angle_beta 90.00
_cell_angle_gamma 90.00
_symmetry_space_group_name_H-M 'F m m m'
_symmetry_Int_Tables_number 69
_symmetry_space_group_name_Hall '-F 2 2'
loop_
_atom_site_label
_atom_site_type_symbol
_atom_site_fract_x
_atom_site_fract_y
_atom_site_fract_z
Ca1 Ca 0.0000 0.0000 0.0000
Be1 Be 0.2500 0.0000 0.2500
Cu1 Cu 0.0000 0.1092 0.3785
Cu2 Cu 0.0000 0.1725 0.1793
Cu3 Cu 0.2500 0.2500 0.0000
```

Principal peaks in the range 10 to 90 degrees two-theta, low angle first:
two_theta  I/Imax  hkl
15.3  100  0 2 0
37.4  69  1 3 3
38.1  65  2 0 0
42.6  92  1 1 5
43.2  98  0 4 4
44.0  73  2 2 2
44.3  81  1 5 1
48.9  60  2 0 4
49.3  57  1 5 3
49.9  63  2 4 0

Record 2
# TaCu2As
Theoretical powder XRD pattern, Cu Kα. Input: the PBE geometry in Alexandria.
Lines closer than 0.1° are merged.

Atomic structure:
```
data_TaCu2As
_cell_length_a 3.2872
_cell_length_b 3.4733
_cell_length_c 5.6275
_cell_angle_alpha 90.00
_cell_angle_beta 106.89
_cell_angle_gamma 90.00
_symmetry_space_group_name_H-M 'P 1 m 1'
_symmetry_Int_Tables_number 6
_symmetry_space_group_name_Hall 'P -2y'
loop_
_atom_site_label
_atom_site_type_symbol
_atom_site_fract_x
_atom_site_fract_y
_atom_site_fract_z
Ta1 Ta 0.0000 0.0000 0.0000
Cu1 Cu 0.3462 0.5000 0.6937
Cu2 Cu 0.7556 0.0000 0.5123
As1 As 0.5927 0.5000 0.1873
```

Principal peaks in the range 10 to 90 degrees two-theta, low angle first:
two_theta  I/Imax  hkl
16.5  30  0 0 1
37.1  41  1 0 1
38.6  100  1 1 0
42.5  58  0 1 2
45.6  17  1 1 1
50.7  23  1 0 -3
52.7  18  0 2 0
55.9  15  2 0 -1
66.2  15  1 2 -2
76.1  14  1 2 -3

Record 3
# YGaCo
Theoretical powder XRD pattern, Cu Kα. Input: the PBE geometry in Alexandria.
Lines closer than 0.1° are merged.

Atomic structure:
```
data_YGaCo
_cell_length_a 4.2164
_cell_length_b 4.2164
_cell_length_c 3.6586
_cell_angle_alpha 90.00
_cell_angle_beta 90.00
_cell_angle_gamma 120.00
_symmetry_space_group_name_H-M 'P -6 m 2'
_symmetry_Int_Tables_number 187
_symmetry_space_group_name_Hall 'P -6 2'
loop_
_atom_site_label
_atom_site_type_symbol
_atom_site_fract_x
_atom_site_fract_y
_atom_site_fract_z
Y1 Y 0.0000 0.0000 0.0000
Ga1 Ga 0.3333 0.6667 0.5000
Co1 Co 0.6667 0.3333 0.5000
```

Principal peaks in the range 10 to 90 degrees two-theta, low angle first:
two_theta  I/Imax  hkl
24.4  6  0 0 1
34.7  100  1 0 1
42.9  55  1 1 0
49.9  14  0 0 2
56.3  24  2 0 1
67.8  27  1 1 2
73.3  21  2 1 1
78.6  9  3 0 0
83.6  7  1 0 3
83.7  1  3 0 1

Record 4
# K4Sn21Hg2
Theoretical powder XRD pattern, Cu Kα. Input: the PBE geometry in Alexandria.
Lines closer than 0.1° are merged.

Atomic structure:
```
data_K4Sn21Hg2
_cell_length_a 12.4059
_cell_length_b 17.5355
_cell_length_c 17.5670
_cell_angle_alpha 90.00
_cell_angle_beta 90.00
_cell_angle_gamma 90.00
_symmetry_space_group_name_H-M 'A m a 2'
_symmetry_Int_Tables_number 40
_symmetry_space_group_name_Hall 'A 2 -2a'
loop_
_atom_site_label
_atom_site_type_symbol
_atom_site_fract_x
_atom_site_fract_y
_atom_site_fract_z
K1 K 0.0000 0.0000 0.0000
K2 K 0.2500 0.1081 0.6562
K3 K 0.2500 0.2513 0.2772
K4 K 0.2500 0.3732 0.9186
Sn1 Sn 0.0567 0.3082 0.7190
Sn2 Sn 0.0654 0.2486 0.4593
Sn3 Sn 0.0657 0.1912 0.8368
Sn4 Sn 0.0664 0.4311 0.2774
Sn5 Sn 0.0673 0.0663 0.2793
Sn6 Sn 0.0694 0.2490 0.0935
Sn7 Sn 0.1322 0.4054 0.1217
Sn8 Sn 0.1329 0.0931 0.4346
Sn9 Sn 0.2500 0.0380 0.1820
Sn10 Sn 0.2500 0.1502 0.0606
Sn11 Sn 0.2500 0.3445 0.4889
Sn12 Sn 0.2500 0.3749 0.6523
Sn13 Sn 0.2500 0.4646 0.3735
Hg1 Hg 0.0000 0.0000 0.5285
Hg2 Hg 0.2500 0.1230 0.9022
```

Principal peaks in the range 10 to 90 degrees two-theta, low angle first:
two_theta  I/Imax  hkl
16.0  69  0 1 3
24.9  38  2 4 0
26.9  100  2 4 2
29.7  28  0 3 5
33.1  27  2 5 3
39.1  25  2 1 7
42.5  84  0 8 2
43.1  26  3 6 4
43.8  28  0 6 6
45.0  54  2 8 2

Record 5
# LiAcZnPd
Theoretical powder XRD pattern, Cu Kα. Input: the PBE geometry in Alexandria.
Lines closer than 0.1° are merged.

Atomic structure:
```
data_LiAcZnPd
_cell_length_a 7.8170
_cell_length_b 4.4994
_cell_length_c 5.7941
_cell_angle_alpha 90.00
_cell_angle_beta 116.89
_cell_angle_gamma 90.00
_symmetry_space_group_name_H-M 'C 1 m 1'
_symmetry_Int_Tables_number 8
_symmetry_space_group_name_Hall 'C -2y'
loop_
_atom_site_label
_atom_site_type_symbol
_atom_site_fract_x
_atom_site_fract_y
_atom_site_fract_z
Li1 Li 0.0000 0.0000 0.0000
Ac1 Ac 0.3055 0.5000 0.4146
Zn1 Zn 0.2920 0.0000 0.8762
Pd1 Pd 0.1015 0.5000 0.8057
```

Principal peaks in the range 10 to 90 degrees two-theta, low angle first:
two_theta  I/Imax  hkl
23.5  100  2 0 -1
25.6  84  1 1 -1
32.5  40  2 0 -2
32.6  81  1 1 1
34.7  34  0 0 2
37.0  54  2 0 1
40.0  100  0 2 0
52.5  32  4 0 0
54.0  38  0 2 2
68.1  21  4 2 0

Record 6
# La8Ni3PI4
Theoretical powder XRD pattern, Cu Kα. Input: the PBE geometry in Alexandria.
Lines closer than 0.1° are merged.

Atomic structure:
```
data_La8Ni3PI4
_cell_length_a 14.7645
_cell_length_b 8.4653
_cell_length_c 9.4332
_cell_angle_alpha 90.00
_cell_angle_beta 121.42
_cell_angle_gamma 90.00
_symmetry_space_group_name_H-M 'C 1 2/m 1'
_symmetry_Int_Tables_number 12
_symmetry_space_group_name_Hall '-C 2y'
loop_
_atom_site_label
_atom_site_type_symbol
_atom_site_fract_x
_atom_site_fract_y
_atom_site_fract_z
La1 La 0.0193 0.2458 0.3068
La2 La 0.2294 0.0000 0.6837
La3 La 0.2334 0.5000 0.6919
Ni1 Ni 0.0000 0.0000 0.5000
Ni2 Ni 0.2500 0.2500 0.5000
P1 P 0.0000 0.5000 0.5000
I1 I 0.0000 0.0000 0.0000
I2 I 0.0000 0.5000 0.0000
I3 I 0.2500 0.2500 0.0000
```

Principal peaks in the range 10 to 90 degrees two-theta, low angle first:
two_theta  I/Imax  hkl
28.3  52  4 0 0
28.5  100  2 2 -2
30.5  36  4 0 -3
33.4  18  0 0 3
38.6  41  2 2 2
42.5  39  6 2 -2
42.7  19  0 4 0
52.1  19  4 4 0
55.1  17  6 2 -5
55.3  14  4 0 3